Entry 1:
Diffraction record for SrUP2H2O10. The PXRD pattern is computed, not measured: it uses a structure optimized by DFT (GGA-PBE) and a wavelength of 1.5418 Å.

Atomic structure:
a = 7.6976 Å, b = 8.3737 Å, c = 9.0457 Å
α = 102.23°, β = 108.41°, γ = 107.15°
Atoms (fractional coordinates):
Sr  0.1870  0.2681  0.0958
Sr  0.8130  0.7319  0.9042
U  0.2706  0.6808  0.5281
U  0.7294  0.3192  0.4719
P  0.2044  0.0098  0.3396
P  0.2607  0.4350  0.7552
P  0.7393  0.5650  0.2448
P  0.7956  0.9902  0.6604
H  0.1181  0.0509  0.4512
H  0.2867  0.2749  0.7057
H  0.7133  0.7251  0.2943
H  0.8819  0.9491  0.5488
O  0.0606  0.9814  0.1658
O  0.0810  0.4288  0.6081
O  0.2012  0.7277  0.0109
O  0.2317  0.4469  0.9146
O  0.2452  0.8439  0.3584
O  0.2616  0.5024  0.3643
O  0.2640  0.8523  0.6850
O  0.3968  0.1744  0.3924
O  0.4368  0.5877  0.7596
O  0.4452  0.0885  0.9775
O  0.5548  0.9115  0.0225
O  0.5632  0.4123  0.2404
O  0.6032  0.8256  0.6076
O  0.7360  0.1477  0.3150
O  0.7384  0.4976  0.6357
O  0.7548  0.1561  0.6416
O  0.7683  0.5531  0.0854
O  0.7988  0.2723  0.9891
O  0.9190  0.5712  0.3919
O  0.9394  0.0186  0.8342

Largest 8 diffraction maxima, in order of rising 2θ, 10° ≤ 2θ ≤ 90°:
d [Å]	2θ/deg	I_rel	index
8.083	10.95	58.9	0 0 1
6.761	13.09	38.1	0 1 -1
5.287	16.77	100.0	-1 1 1
3.584	24.84	33.1	-1 1 2
3.362	26.51	41.3	2 0 0
3.221	27.69	32.0	1 1 1
3.033	29.45	29.4	1 -2 2
3.007	29.71	32.0	1 2 -2

---

Entry 2:
Diffraction record for SrZnP2H2O8. The PXRD pattern is computed, not measured: it uses a structure optimized by DFT (GGA-PBE) and a wavelength of 1.5418 Å.

Atomic structure:
a = 7.3030 Å, b = 7.8966 Å, c = 7.9375 Å
α = 97.50°, β = 107.37°, γ = 100.56°
Atoms (fractional coordinates):
Sr  0.0973  0.0201  0.2784
Sr  0.9027  0.9799  0.7216
Zn  0.0919  0.5236  0.2805
Zn  0.9081  0.4764  0.7195
P  0.2279  0.3242  0.9791
P  0.2415  0.7819  0.6596
P  0.7585  0.2181  0.3404
P  0.7721  0.6758  0.0209
H  0.4110  0.8254  0.8126
H  0.4126  0.3518  0.9547
H  0.5874  0.6482  0.0453
H  0.5890  0.1746  0.1874
O  0.0624  0.7104  0.7195
O  0.0732  0.3106  0.7901
O  0.1838  0.1433  0.0320
O  0.2065  0.9519  0.5914
O  0.2365  0.4828  0.1174
O  0.2750  0.6403  0.5249
O  0.3870  0.8577  0.2126
O  0.4087  0.2817  0.5302
O  0.5913  0.7183  0.4698
O  0.6130  0.1423  0.7874
O  0.7250  0.3597  0.4751
O  0.7635  0.5172  0.8826
O  0.7935  0.0481  0.4086
O  0.8162  0.8567  0.9680
O  0.9268  0.6894  0.2099
O  0.9376  0.2896  0.2805

Largest 8 diffraction maxima, in order of rising 2θ, 10° ≤ 2θ ≤ 90°:
d [Å]	2θ/deg	I_rel	index
6.775	13.07	100.0	1 0 0
3.712	23.97	27.7	0 0 2
3.333	26.75	22.3	1 -2 1
3.161	28.23	17.9	1 2 -1
3.056	29.22	20.7	2 0 -2
2.966	30.13	14.6	0 2 -2
2.879	31.06	18.5	1 0 2
2.546	35.26	15.4	1 2 1